Entry 1:
The following is a theoretical X-ray powder pattern of CsLaZr6FeCl18. It was derived from a GGA-PBE-relaxed structure, using copper Kα.
Intensities are scaled so that the largest is 100.

Largest 8 diffraction maxima, by intensity, 2θ = 10–90°:
2θ = 14.0°, I 100
2θ = 10.3°, I 60
2θ = 33.6°, I 57
2θ = 20.3°, I 38
2θ = 26.1°, I 31
2θ = 40.0°, I 28
2θ = 48.6°, I 24
2θ = 31.0°, I 22

Lattice parameters (Å, degrees): 9.917 9.917 18.779 90.00 90.00 120.00
Fractional positions:
Cs 0.333 0.667 0.250
Cs 0.667 0.333 0.750
La 0.333 0.667 0.750
La 0.667 0.333 0.250
Zr 0.046 0.220 0.925
Zr 0.046 0.826 0.575
Zr 0.174 0.220 0.575
Zr 0.174 0.954 0.925
Zr 0.220 0.046 0.425
Zr 0.220 0.174 0.075
Zr 0.780 0.826 0.925
Zr 0.780 0.954 0.575
Zr 0.826 0.046 0.075
Zr 0.826 0.780 0.425
Zr 0.954 0.174 0.425
Zr 0.954 0.780 0.075
Fe 0.000 0.000 0.000
Fe 0.000 0.000 0.500
Cl 0.048 0.234 0.158
Cl 0.048 0.815 0.342
Cl 0.085 0.454 0.836
Cl 0.085 0.631 0.664
Cl 0.139 0.416 0.499
Cl 0.139 0.723 0.001
Cl 0.185 0.234 0.342
Cl 0.185 0.952 0.158
Cl 0.234 0.048 0.658
Cl 0.234 0.185 0.842
Cl 0.277 0.416 0.001
Cl 0.277 0.861 0.499
Cl 0.369 0.454 0.664
Cl 0.369 0.915 0.836
Cl 0.416 0.139 0.999
Cl 0.416 0.277 0.501
Cl 0.454 0.085 0.336
Cl 0.454 0.369 0.164
Cl 0.546 0.631 0.836
Cl 0.546 0.915 0.664
Cl 0.584 0.723 0.499
Cl 0.584 0.861 0.001
Cl 0.631 0.085 0.164
Cl 0.631 0.546 0.336
Cl 0.723 0.139 0.501
Cl 0.723 0.584 0.999
Cl 0.766 0.815 0.158
Cl 0.766 0.952 0.342
Cl 0.815 0.048 0.842
Cl 0.815 0.766 0.658
Cl 0.861 0.277 0.999
Cl 0.861 0.584 0.501
Cl 0.915 0.369 0.336
Cl 0.915 0.546 0.164
Cl 0.952 0.185 0.658
Cl 0.952 0.766 0.842

=====

Entry 2:
The following is a theoretical X-ray powder pattern of CsLiFe2Cl6. It was derived from a GGA-PBE-relaxed structure, using copper Kα.
Intensities are scaled so that the largest is 100.

Largest 8 diffraction maxima, by intensity, 2θ = 10–90°:
2θ = 28.7°, I 100
2θ = 13.8°, I 96
2θ = 27.1°, I 75
2θ = 24.7°, I 73
2θ = 18.2°, I 64
2θ = 19.2°, I 63
2θ = 20.8°, I 62
2θ = 24.1°, I 47

Lattice parameters (Å, degrees): 6.346 7.279 7.504 62.18 79.91 81.89
Fractional positions:
Cs 0.000 0.000 0.000
Li 0.380 0.538 0.665
Fe 0.273 0.341 0.289
Fe 0.606 0.136 0.466
Cl 0.050 0.077 0.461
Cl 0.160 0.558 0.431
Cl 0.162 0.510 0.963
Cl 0.531 0.174 0.753
Cl 0.610 0.816 0.488
Cl 0.633 0.392 0.147

=====

Entry 3:
The following is a theoretical X-ray powder pattern of CsPmFeCl6. It was derived from a GGA-PBE-relaxed structure, using copper Kα.
Intensities are scaled so that the largest is 100.

Largest 8 diffraction maxima, by intensity, 2θ = 10–90°:
2θ = 18.8°, I 100
2θ = 34.9°, I 58
2θ = 41.8°, I 26
2θ = 11.4°, I 21
2θ = 32.2°, I 20
2θ = 25.9°, I 19
2θ = 45.8°, I 17
2θ = 28.4°, I 16

Lattice parameters (Å, degrees): 6.869 6.869 7.767 90.04 90.04 120.01
Fractional positions:
Cs 0.000 0.000 0.000
Pm 0.666 0.334 0.500
Fe 0.333 0.667 0.500
Cl 0.025 0.389 0.691
Cl 0.025 0.634 0.308
Cl 0.366 0.975 0.692
Cl 0.369 0.393 0.306
Cl 0.607 0.631 0.694
Cl 0.611 0.975 0.309